Diffraction record for LaFe2SnH8. The XRD peak list is calculated, not measured: it uses a cell relaxed with PBE and λ = 1.5418 Å (Cu Kα).
No peak broadening, texture or thermal motion is included.

Largest 10 diffraction maxima, by intensity, 10° ≤ 2θ ≤ 80°:
30.4 deg, rel. 100; 38.4 deg, rel. 95; 50.4 deg, rel. 59; 24.3 deg, rel. 56; 31.5 deg, rel. 36; 58.7 deg, rel. 27; 49.7 deg, rel. 26; 64.5 deg, rel. 24; 15.6 deg, rel. 18; 78.2 deg, rel. 16

Atomic structure:
```
12
Lattice="2.345 1.354 5.686 -2.345 1.354 5.686 0.000 -2.708 5.686" Properties=species:S:1:pos:R:3 pbc="T T T"
La 0.000 0.000 0.000
Fe 0.000 0.000 3.349
Fe 0.000 0.000 13.709
Sn 0.000 0.000 8.529
H 0.000 -1.593 3.658
H -1.380 0.797 3.658
H 0.000 0.000 4.991
H -1.380 -0.797 13.400
H 1.380 0.797 3.658
H 0.000 0.000 12.068
H 1.380 -0.797 13.400
H 0.000 1.593 13.400
```